1.
This entry pairs a crystal structure of Ho6AgAu5 with its calculated X-ray diffraction stick pattern. Radiation: Cu Kα (weighted mean of Kα1 and Kα2). Structure: DFT lattice parameters and positions (PBE).

Cell and atoms:
```
Ho6AgAu5
1.0
2.5443 -7.6508 0.0000
2.5443 7.6508 0.0000
0.0000 0.0000 7.1190
Ho Ag Au
6 1 5
direct
0.0000 0.0000 0.2460
0.0000 0.0000 0.7540
0.3317 0.6683 0.2499
0.3317 0.6683 0.7501
0.6683 0.3317 0.2499
0.6683 0.3317 0.7501
0.5000 0.5000 0.5000
0.1597 0.8403 0.5000
0.1677 0.8323 0.0000
0.5000 0.5000 0.0000
0.8323 0.1677 0.0000
0.8403 0.1597 0.5000
```

Largest 8 diffraction maxima, by angle, 2θ = 15–90°:
2θ = 35.2°, d = 2.547 Å, I 51; 2θ = 35.5°, d = 2.532 Å, I 100; 2θ = 50.7°, d = 1.801 Å, I 18; 2θ = 63.3°, d = 1.469 Å, I 18; 2θ = 63.4°, d = 1.467 Å, I 19; 2θ = 63.8°, d = 1.459 Å, I 18; 2θ = 75.0°, d = 1.266 Å, I 11; 2θ = 85.3°, d = 1.138 Å, I 12

2.
This entry pairs a crystal structure of Co3As with its calculated X-ray diffraction stick pattern. Radiation: Cu Kα (weighted mean of Kα1 and Kα2). Structure: DFT lattice parameters and positions (PBE).

Cell and atoms:
```
Co3As
1.0
2.6672 0.0000 0.0000
0.0000 3.7481 0.0000
-1.1287 0.0000 4.7617
Co As
3 1
direct
0.0000 0.0000 0.0000
0.3813 0.5000 0.7488
0.6187 0.5000 0.2512
0.0000 0.0000 0.5000
```

Largest 8 diffraction maxima, by angle, 2θ = 15–90°:
2θ = 35.4°, d = 2.538 Å, I 14; 2θ = 42.4°, d = 2.134 Å, I 93; 2θ = 45.1°, d = 2.010 Å, I 100; 2θ = 45.4°, d = 1.999 Å, I 38; 2θ = 48.6°, d = 1.874 Å, I 40; 2θ = 58.3°, d = 1.582 Å, I 17; 2θ = 68.6°, d = 1.367 Å, I 20; 2θ = 79.2°, d = 1.209 Å, I 13

3.
This entry pairs a crystal structure of NiMoC with its calculated X-ray diffraction stick pattern. Radiation: Cu Kα (weighted mean of Kα1 and Kα2). Structure: DFT lattice parameters and positions (PBE).

Cell and atoms:
```
NiMoC
1.0
4.9663 -1.4777 0.0000
4.9663 1.4777 0.0000
-0.5426 0.0000 4.5783
Ni Mo C
2 2 2
direct
0.0000 0.0000 0.0000
0.6794 0.6794 0.4398
0.2641 0.2641 0.9395
0.4259 0.4259 0.5158
0.0878 0.0878 0.6329
0.8408 0.8408 0.2208
```

Largest 8 diffraction maxima, by angle, 2θ = 15–90°:
2θ = 36.8°, d = 2.445 Å, I 27; 2θ = 37.9°, d = 2.372 Å, I 97; 2θ = 39.4°, d = 2.288 Å, I 100; 2θ = 43.7°, d = 2.072 Å, I 32; 2θ = 44.3°, d = 2.045 Å, I 45; 2θ = 47.3°, d = 1.923 Å, I 30; 2θ = 55.6°, d = 1.652 Å, I 23; 2θ = 76.8°, d = 1.241 Å, I 26

4.
This entry pairs a crystal structure of LiNbO4 with its calculated X-ray diffraction stick pattern. Radiation: Cu Kα (weighted mean of Kα1 and Kα2). Structure: DFT lattice parameters and positions (PBE).

Cell and atoms:
```
LiNbO4
1.0
-2.6468 2.6468 4.3165
2.6468 -2.6468 4.3165
2.6468 2.6468 -4.3165
Li Nb O
2 2 8
direct
0.3750 0.6250 0.7500
0.6250 0.3750 0.2500
0.1250 0.8750 0.2500
0.8750 0.1250 0.7500
0.0000 0.2365 0.2365
0.0000 0.7635 0.7635
0.2365 0.0000 0.7365
0.2365 0.5000 0.2365
0.5000 0.2365 0.7365
0.5000 0.7635 0.2635
0.7635 0.0000 0.2635
0.7635 0.5000 0.7635
```

Largest 8 diffraction maxima, by angle, 2θ = 15–90°:
2θ = 19.7°, d = 4.513 Å, I 100; 2θ = 31.6°, d = 2.828 Å, I 68; 2θ = 35.5°, d = 2.528 Å, I 18; 2θ = 39.5°, d = 2.283 Å, I 27; 2θ = 48.6°, d = 1.872 Å, I 25; 2θ = 49.9°, d = 1.828 Å, I 16; 2θ = 54.9°, d = 1.673 Å, I 33; 2θ = 59.2°, d = 1.561 Å, I 22